Entry 1:
For Na4AlBi3, a GGA-PBE-relaxed structure gives the theoretical powder diffraction line list in this record (Cu Kα X-rays).
Intensities are scaled so that the largest is 100.

Crystal structure
```
data_Na4AlBi3
_space_group_name_H-M_alt 'P 1'
_space_group_IT_number 1
_space_group_name_Hall 'P 1'
_cell_length_a 9.3462
_cell_length_b 9.3462
_cell_length_c 9.3462
_cell_angle_alpha 96.20
_cell_angle_beta 96.20
_cell_angle_gamma 141.64
loop_
_atom_site_label
_atom_site_type_symbol
_atom_site_fract_x
_atom_site_fract_y
_atom_site_fract_z
_atom_site_occupancy
Na1 Na 0.0834 0.7781 0.8616 1
Na2 Na 0.2219 0.0834 0.3053 1
Na3 Na 0.2781 0.5834 0.8616 1
Na4 Na 0.4166 0.2781 0.6947 1
Na5 Na 0.5834 0.7219 0.3053 1
Na6 Na 0.7219 0.4166 0.1384 1
Na7 Na 0.7781 0.9166 0.6947 1
Na8 Na 0.9166 0.2219 0.1384 1
Al1 Al 0.2500 0.7500 0.5000 1
Al2 Al 0.7500 0.2500 0.5000 1
Bi1 Bi 0.1389 0.3611 0.5000 1
Bi2 Bi 0.2500 0.2500 0.0000 1
Bi3 Bi 0.3611 0.8611 0.2223 1
Bi4 Bi 0.6389 0.1389 0.7777 1
Bi5 Bi 0.7500 0.7500 0.0000 1
Bi6 Bi 0.8611 0.6389 0.5000 1
```

Peak list (12 most intense, 5° ≤ 2θ ≤ 70°, by angle)
2θ 21.51, intensity 100
2θ 22.52, intensity 87
2θ 29.62, intensity 40
2θ 30.83, intensity 30
2θ 32.06, intensity 29
2θ 32.50, intensity 25
2θ 40.89, intensity 20
2θ 41.24, intensity 47
2θ 41.64, intensity 39
2θ 42.55, intensity 28
2θ 60.31, intensity 19
2θ 60.49, intensity 23

---

Entry 2:
For NaAl2Bi2, a GGA-PBE-relaxed structure gives the theoretical powder diffraction line list in this record (Cu Kα X-rays).
Intensities are scaled so that the largest is 100.

Crystal structure
```
data_NaAl2Bi2
_space_group_name_H-M_alt 'P 1'
_space_group_IT_number 1
_space_group_name_Hall 'P 1'
_cell_length_a 5.3481
_cell_length_b 5.3481
_cell_length_c 10.1691
_cell_angle_alpha 90.00
_cell_angle_beta 90.00
_cell_angle_gamma 90.00
loop_
_atom_site_label
_atom_site_type_symbol
_atom_site_fract_x
_atom_site_fract_y
_atom_site_fract_z
_atom_site_occupancy
Na1 Na 0.0000 0.0000 0.0000 1
Na2 Na 0.5000 0.5000 0.5000 1
Al1 Al 0.0000 0.0000 0.3736 1
Al2 Al 0.0000 0.0000 0.6264 1
Al3 Al 0.5000 0.5000 0.1264 1
Al4 Al 0.5000 0.5000 0.8736 1
Bi1 Bi 0.0000 0.5000 0.2500 1
Bi2 Bi 0.0000 0.5000 0.7500 1
Bi3 Bi 0.5000 0.0000 0.2500 1
Bi4 Bi 0.5000 0.0000 0.7500 1
```

Peak list (12 most intense, 5° ≤ 2θ ≤ 70°, by angle)
2θ 17.44, intensity 68
2θ 23.53, intensity 49
2θ 29.44, intensity 100
2θ 33.51, intensity 46
2θ 38.02, intensity 41
2θ 42.86, intensity 38
2θ 48.12, intensity 17
2θ 49.47, intensity 19
2θ 51.57, intensity 18
2θ 57.42, intensity 32
2θ 59.80, intensity 14
2θ 66.39, intensity 22

---

Entry 3:
For Na2SrAlBi2, a GGA-PBE-relaxed structure gives the theoretical powder diffraction line list in this record (Cu Kα X-rays).
Intensities are scaled so that the largest is 100.

Crystal structure
```
data_Na2SrAlBi2
_space_group_name_H-M_alt 'P 1'
_space_group_IT_number 1
_space_group_name_Hall 'P 1'
_cell_length_a 4.9516
_cell_length_b 9.3022
_cell_length_c 8.2685
_cell_angle_alpha 90.00
_cell_angle_beta 90.00
_cell_angle_gamma 90.00
loop_
_atom_site_label
_atom_site_type_symbol
_atom_site_fract_x
_atom_site_fract_y
_atom_site_fract_z
_atom_site_occupancy
Na1 Na 0.0000 0.0772 0.0000 1
Na2 Na 0.0000 0.9228 0.5000 1
Na3 Na 0.5000 0.1568 0.3238 1
Na4 Na 0.5000 0.8432 0.8238 1
Sr1 Sr 0.5000 0.4560 0.9737 1
Sr2 Sr 0.5000 0.5440 0.4737 1
Al1 Al 0.0000 0.3199 0.6287 1
Al2 Al 0.0000 0.6801 0.1287 1
Bi1 Bi 0.0000 0.3704 0.2536 1
Bi2 Bi 0.0000 0.6296 0.7536 1
Bi3 Bi 0.5000 0.1718 0.7114 1
Bi4 Bi 0.5000 0.8282 0.2114 1
```

Peak list (12 most intense, 5° ≤ 2θ ≤ 70°, by angle)
2θ 9.51, intensity 24
2θ 20.32, intensity 19
2θ 21.49, intensity 31
2θ 21.93, intensity 72
2θ 23.02, intensity 100
2θ 29.75, intensity 74
2θ 34.13, intensity 61
2θ 36.28, intensity 31
2θ 37.95, intensity 23
2θ 38.62, intensity 31
2θ 40.68, intensity 26
2θ 42.80, intensity 27

---

Entry 4:
For AlNi2BiRh, a GGA-PBE-relaxed structure gives the theoretical powder diffraction line list in this record (Cu Kα X-rays).
Intensities are scaled so that the largest is 100.

Crystal structure
```
data_AlNi2BiRh
_space_group_name_H-M_alt 'P 1'
_space_group_IT_number 1
_space_group_name_Hall 'P 1'
_cell_length_a 4.2660
_cell_length_b 4.2660
_cell_length_c 5.3143
_cell_angle_alpha 90.00
_cell_angle_beta 90.00
_cell_angle_gamma 90.00
loop_
_atom_site_label
_atom_site_type_symbol
_atom_site_fract_x
_atom_site_fract_y
_atom_site_fract_z
_atom_site_occupancy
Al1 Al 0.0000 0.0000 0.0000 1
Ni1 Ni 0.0000 0.5000 0.0000 1
Ni2 Ni 0.5000 0.0000 0.0000 1
Bi1 Bi 0.0000 0.0000 0.5000 1
Rh1 Rh 0.5000 0.5000 0.5000 1
```

Peak list (12 most intense, 5° ≤ 2θ ≤ 70°, by angle)
2θ 16.68, intensity 18
2θ 20.82, intensity 16
2θ 29.61, intensity 18
2θ 33.73, intensity 33
2θ 34.18, intensity 100
2θ 39.97, intensity 6
2θ 42.38, intensity 35
2θ 45.49, intensity 12
2θ 45.84, intensity 6
2θ 55.22, intensity 32
2θ 60.62, intensity 19
2θ 61.48, intensity 11

---

Entry 5:
For AlBi3O6, a GGA-PBE-relaxed structure gives the theoretical powder diffraction line list in this record (Cu Kα X-rays).
Intensities are scaled so that the largest is 100.

Crystal structure
```
data_AlBi3O6
_space_group_name_H-M_alt 'P 1'
_space_group_IT_number 1
_space_group_name_Hall 'P 1'
_cell_length_a 7.4091
_cell_length_b 7.4091
_cell_length_c 5.6233
_cell_angle_alpha 90.00
_cell_angle_beta 90.00
_cell_angle_gamma 103.04
loop_
_atom_site_label
_atom_site_type_symbol
_atom_site_fract_x
_atom_site_fract_y
_atom_site_fract_z
_atom_site_occupancy
Al1 Al 0.1933 0.8067 0.5000 1
Al2 Al 0.8067 0.1933 0.0000 1
Bi1 Bi 0.0828 0.3007 0.5388 1
Bi2 Bi 0.3007 0.0828 0.0388 1
Bi3 Bi 0.3957 0.6043 0.0679 1
Bi4 Bi 0.6043 0.3957 0.5679 1
Bi5 Bi 0.6993 0.9172 0.5388 1
Bi6 Bi 0.9172 0.6993 0.0388 1
O1 O 0.0509 0.9491 0.3805 1
O2 O 0.1051 0.5865 0.3563 1
O3 O 0.2131 0.7869 0.8125 1
O4 O 0.3300 0.3572 0.8017 1
O5 O 0.3572 0.3300 0.3017 1
O6 O 0.4135 0.8949 0.3563 1
O7 O 0.5865 0.1051 0.8563 1
O8 O 0.6428 0.6700 0.8017 1
O9 O 0.6700 0.6428 0.3017 1
O10 O 0.7869 0.2131 0.3125 1
O11 O 0.8949 0.4135 0.8563 1
O12 O 0.9491 0.0509 0.8805 1
```

Peak list (12 most intense, 5° ≤ 2θ ≤ 70°, by angle)
2θ 20.02, intensity 32
2θ 29.41, intensity 100
2θ 29.67, intensity 40
2θ 30.08, intensity 25
2θ 30.83, intensity 18
2θ 31.83, intensity 23
2θ 44.36, intensity 28
2θ 44.90, intensity 22
2θ 49.21, intensity 20
2θ 55.22, intensity 16
2θ 57.77, intensity 17
2θ 59.80, intensity 15

---

Entry 6:
For Al2Bi2O7, a GGA-PBE-relaxed structure gives the theoretical powder diffraction line list in this record (Cu Kα X-rays).
Intensities are scaled so that the largest is 100.

Crystal structure
```
data_Al2Bi2O7
_space_group_name_H-M_alt 'P 1'
_space_group_IT_number 1
_space_group_name_Hall 'P 1'
_cell_length_a 6.6302
_cell_length_b 6.6302
_cell_length_c 6.6302
_cell_angle_alpha 148.98
_cell_angle_beta 71.29
_cell_angle_gamma 117.64
loop_
_atom_site_label
_atom_site_type_symbol
_atom_site_fract_x
_atom_site_fract_y
_atom_site_fract_z
_atom_site_occupancy
Al1 Al 0.0000 0.0000 0.0000 1
Al2 Al 0.6649 0.1649 0.5000 1
Bi1 Bi 0.2266 0.4613 0.7654 1
Bi2 Bi 0.6959 0.4613 0.2346 1
O1 O 0.2807 0.1304 0.1503 1
O2 O 0.3429 0.9520 0.3909 1
O3 O 0.5612 0.9520 0.6091 1
O4 O 0.6164 0.7340 0.8824 1
O5 O 0.8516 0.7340 0.1176 1
O6 O 0.9350 0.4350 0.5000 1
O7 O 0.9801 0.1304 0.8497 1
```

Peak list (12 most intense, 5° ≤ 2θ ≤ 70°, by angle)
2θ 16.45, intensity 77
2θ 25.96, intensity 43
2θ 28.33, intensity 47
2θ 30.89, intensity 47
2θ 32.93, intensity 100
2θ 33.26, intensity 18
2θ 42.66, intensity 24
2θ 44.24, intensity 42
2θ 47.27, intensity 20
2θ 50.39, intensity 28
2θ 59.02, intensity 16
2θ 61.31, intensity 14

---

Entry 7:
For Al4Bi2O9, a GGA-PBE-relaxed structure gives the theoretical powder diffraction line list in this record (Cu Kα X-rays).
Intensities are scaled so that the largest is 100.

Crystal structure
```
data_Al4Bi2O9
_space_group_name_H-M_alt 'P 1'
_space_group_IT_number 1
_space_group_name_Hall 'P 1'
_cell_length_a 7.7776
_cell_length_b 8.2449
_cell_length_c 5.7649
_cell_angle_alpha 90.00
_cell_angle_beta 90.00
_cell_angle_gamma 90.00
loop_
_atom_site_label
_atom_site_type_symbol
_atom_site_fract_x
_atom_site_fract_y
_atom_site_fract_z
_atom_site_occupancy
Al1 Al 0.0000 0.0000 0.2386 1
Al2 Al 0.0000 0.0000 0.7614 1
Al3 Al 0.1477 0.3396 0.0000 1
Al4 Al 0.3523 0.8396 0.0000 1
Al5 Al 0.5000 0.5000 0.2386 1
Al6 Al 0.5000 0.5000 0.7614 1
Al7 Al 0.6477 0.1604 0.0000 1
Al8 Al 0.8523 0.6604 0.0000 1
Bi1 Bi 0.1704 0.6697 0.5000 1
Bi2 Bi 0.3296 0.1697 0.5000 1
Bi3 Bi 0.6704 0.8303 0.5000 1
Bi4 Bi 0.8296 0.3303 0.5000 1
O1 O 0.0000 0.5000 0.0000 1
O2 O 0.1231 0.2084 0.2484 1
O3 O 0.1231 0.2084 0.7516 1
O4 O 0.1388 0.9153 0.0000 1
O5 O 0.1443 0.9356 0.5000 1
O6 O 0.3557 0.4356 0.5000 1
O7 O 0.3612 0.4153 0.0000 1
O8 O 0.3769 0.7084 0.2484 1
O9 O 0.3769 0.7084 0.7516 1
O10 O 0.5000 0.0000 0.0000 1
O11 O 0.6231 0.2916 0.2484 1
O12 O 0.6231 0.2916 0.7516 1
O13 O 0.6388 0.5847 0.0000 1
O14 O 0.6443 0.5644 0.5000 1
O15 O 0.8557 0.0644 0.5000 1
O16 O 0.8612 0.0847 0.0000 1
O17 O 0.8769 0.7916 0.2484 1
O18 O 0.8769 0.7916 0.7516 1
```

Peak list (12 most intense, 5° ≤ 2θ ≤ 70°, by angle)
2θ 15.37, intensity 97
2θ 24.44, intensity 38
2θ 25.32, intensity 28
2θ 27.67, intensity 25
2θ 29.00, intensity 100
2θ 29.76, intensity 91
2θ 31.03, intensity 32
2θ 40.46, intensity 42
2θ 48.30, intensity 44
2θ 50.78, intensity 22
2θ 50.95, intensity 23
2θ 58.49, intensity 37

---

Entry 8:
For Al2BiO6, a GGA-PBE-relaxed structure gives the theoretical powder diffraction line list in this record (Cu Kα X-rays).
Intensities are scaled so that the largest is 100.

Crystal structure
```
data_Al2BiO6
_space_group_name_H-M_alt 'P 1'
_space_group_IT_number 1
_space_group_name_Hall 'P 1'
_cell_length_a 8.7699
_cell_length_b 8.7699
_cell_length_c 4.3299
_cell_angle_alpha 90.00
_cell_angle_beta 90.00
_cell_angle_gamma 120.00
loop_
_atom_site_label
_atom_site_type_symbol
_atom_site_fract_x
_atom_site_fract_y
_atom_site_fract_z
_atom_site_occupancy
Al1 Al 0.0000 0.3498 0.0000 1
Al2 Al 0.0000 0.6891 0.5000 1
Al3 Al 0.3109 0.3109 0.5000 1
Al4 Al 0.3498 0.0000 0.0000 1
Al5 Al 0.6502 0.6502 0.0000 1
Al6 Al 0.6891 0.0000 0.5000 1
Bi1 Bi 0.0000 0.0000 0.0000 1
Bi2 Bi 0.3333 0.6667 0.5027 1
Bi3 Bi 0.6667 0.3333 0.4973 1
O1 O 0.0910 0.5590 0.2517 1
O2 O 0.1101 0.2404 0.2478 1
O3 O 0.1303 0.8899 0.2478 1
O4 O 0.2130 0.4261 0.7511 1
O5 O 0.2130 0.7870 0.7511 1
O6 O 0.2404 0.1101 0.7522 1
O7 O 0.4261 0.2130 0.2489 1
O8 O 0.4410 0.5319 0.2517 1
O9 O 0.4681 0.9090 0.2517 1
O10 O 0.5319 0.4410 0.7483 1
O11 O 0.5590 0.0910 0.7483 1
O12 O 0.5739 0.7870 0.7511 1
O13 O 0.7596 0.8697 0.2478 1
O14 O 0.7870 0.2130 0.2489 1
O15 O 0.7870 0.5739 0.2489 1
O16 O 0.8697 0.7596 0.7522 1
O17 O 0.8899 0.1303 0.7522 1
O18 O 0.9090 0.4681 0.7483 1
```

Peak list (12 most intense, 5° ≤ 2θ ≤ 70°, by angle)
2θ 20.25, intensity 100
2θ 23.65, intensity 90
2θ 28.98, intensity 21
2θ 31.33, intensity 52
2θ 35.46, intensity 40
2θ 37.59, intensity 61
2θ 41.17, intensity 25
2θ 46.80, intensity 30
2θ 48.03, intensity 26
2θ 55.44, intensity 18
2θ 55.88, intensity 44
2θ 56.97, intensity 22